# KNi2C
Computed XRD peak list, Cu Kα, 1.54184 Å. Input: the GGA-PBE geometry in Alexandria.

Peak list (10 most intense, 5 to 70 degrees two-theta, by angle)
(0 0 2), 2θ 15.89, I 95
(1 0 1), 2θ 25.85, I 20
(0 0 4), 2θ 32.09, I 54
(1 1 0), 2θ 35.02, I 16
(1 1 2), 2θ 38.67, I 100
(1 1 4), 2θ 48.23, I 14
(2 0 0), 2θ 50.36, I 28
(2 0 2), 2θ 53.15, I 15
(2 0 4), 2θ 60.98, I 29
(1 1 6), 2θ 61.63, I 23

Structure:
a = 3.6238 Å, b = 3.6238 Å, c = 11.1568 Å
α = 90.00°, β = 90.00°, γ = 90.00°
Positions (direct):
K 0.0000 0.0000 0.0000
K 0.5000 0.5000 0.5000
Ni 0.0000 0.5000 0.2554
Ni 0.0000 0.5000 0.7554
Ni 0.5000 0.0000 0.2554
Ni 0.5000 0.0000 0.7554
C 0.0000 0.0000 0.2691
C 0.5000 0.5000 0.7691